Pr5Sm12Tm2: theoretical PXRD pattern (a wavelength of 1.5418 Å), based on a crystal structure in Alexandria, relaxed with PBE.
Intensities are scaled so that the largest is 100.

Main lines, in order of rising 2θ (2θ = 15–90°):
2θ = 30.27°, d 2.953, intensity 100.0
2θ = 34.71°, d 2.584, intensity 17.6
2θ = 34.90°, d 2.571, intensity 17.0
2θ = 35.67°, d 2.517, intensity 15.8
2θ = 50.04°, d 1.823, intensity 12.2
2θ = 50.62°, d 1.803, intensity 11.7
2θ = 50.76°, d 1.799, intensity 11.4
2θ = 59.49°, d 1.554, intensity 14.9
2θ = 59.73°, d 1.548, intensity 13.9
2θ = 60.76°, d 1.524, intensity 12.9
2θ = 62.96°, d 1.476, intensity 11.9
2θ = 81.48°, d 1.181, intensity 5.8

Structure:
```
data_Pr5Sm12Tm2
_chemical_formula_sum 'Pr5 Sm12 Tm2'
_space_group_name_H-M_alt 'P 1'
_space_group_IT_number 1
_space_group_name_Hall 'P 1'
_cell_length_a 13.838
_cell_length_b 13.838
_cell_length_c 5.169
_cell_angle_alpha 100.73
_cell_angle_beta 100.73
_cell_angle_gamma 43.63
loop_
_atom_site_label
_atom_site_type_symbol
_atom_site_fract_x
_atom_site_fract_y
_atom_site_fract_z
Pr1 Pr 0.000 0.000 0.000
Pr2 Pr 0.198 0.198 0.198
Pr3 Pr 0.302 0.302 0.802
Pr4 Pr 0.698 0.698 0.198
Pr5 Pr 0.802 0.802 0.802
Sm1 Sm 0.056 0.551 0.304
Sm2 Sm 0.099 0.099 0.599
Sm3 Sm 0.158 0.649 0.904
Sm4 Sm 0.351 0.842 0.096
Sm5 Sm 0.403 0.403 0.403
Sm6 Sm 0.449 0.944 0.696
Sm7 Sm 0.551 0.056 0.304
Sm8 Sm 0.597 0.597 0.597
Sm9 Sm 0.649 0.158 0.904
Sm10 Sm 0.842 0.351 0.096
Sm11 Sm 0.901 0.901 0.401
Sm12 Sm 0.944 0.449 0.696
Tm1 Tm 0.235 0.765 0.500
Tm2 Tm 0.765 0.235 0.500
```

=====

GaReH: theoretical PXRD pattern (a wavelength of 1.5418 Å), based on a crystal structure in Alexandria, relaxed with PBE.
Intensities are scaled so that the largest is 100.

Main lines, in order of rising 2θ (2θ = 15–90°):
2θ = 20.58°, d 4.316, intensity 34.4
2θ = 27.89°, d 3.199, intensity 30.1
2θ = 35.02°, d 2.563, intensity 68.0
2θ = 35.50°, d 2.529, intensity 48.8
2θ = 36.56°, d 2.458, intensity 100.0
2θ = 40.68°, d 2.218, intensity 27.3
2θ = 41.33°, d 2.185, intensity 55.1
2θ = 42.80°, d 2.113, intensity 53.5
2θ = 43.66°, d 2.073, intensity 38.4
2θ = 44.39°, d 2.041, intensity 98.9
2θ = 46.51°, d 1.953, intensity 55.9
2θ = 66.28°, d 1.410, intensity 38.6

Structure:
```
data_GaReH
_chemical_formula_sum 'Ga8 Re8 H8'
_space_group_name_H-M_alt 'P 1'
_space_group_IT_number 1
_space_group_name_Hall 'P 1'
_cell_length_a 6.829
_cell_length_b 8.000
_cell_length_c 5.742
_cell_angle_alpha 90.00
_cell_angle_beta 111.83
_cell_angle_gamma 90.00
loop_
_atom_site_label
_atom_site_type_symbol
_atom_site_fract_x
_atom_site_fract_y
_atom_site_fract_z
Ga1 Ga 0.036 0.166 0.445
Ga2 Ga 0.036 0.334 0.945
Ga3 Ga 0.299 0.600 0.752
Ga4 Ga 0.299 0.900 0.252
Ga5 Ga 0.701 0.100 0.748
Ga6 Ga 0.701 0.400 0.248
Ga7 Ga 0.964 0.666 0.055
Ga8 Ga 0.964 0.834 0.555
Re1 Re 0.358 0.561 0.264
Re2 Re 0.358 0.939 0.764
Re3 Re 0.378 0.226 0.378
Re4 Re 0.378 0.274 0.878
Re5 Re 0.622 0.726 0.122
Re6 Re 0.622 0.774 0.622
Re7 Re 0.642 0.061 0.236
Re8 Re 0.642 0.439 0.736
H1 H 0.179 0.604 0.404
H2 H 0.179 0.896 0.904
H3 H 0.188 0.107 0.810
H4 H 0.188 0.393 0.310
H5 H 0.812 0.607 0.690
H6 H 0.812 0.893 0.190
H7 H 0.821 0.104 0.096
H8 H 0.821 0.396 0.596
```

=====

Nd2TiAgO6: theoretical PXRD pattern (a wavelength of 1.5418 Å), based on a crystal structure in Alexandria, relaxed with PBE.
Intensities are scaled so that the largest is 100.

Main lines, in order of rising 2θ (2θ = 15–90°):
2θ = 18.76°, d 4.730, intensity 18.4
2θ = 29.44°, d 3.034, intensity 100.0
2θ = 31.99°, d 2.797, intensity 41.1
2θ = 37.35°, d 2.408, intensity 9.7
2θ = 38.05°, d 2.365, intensity 8.2
2θ = 44.64°, d 2.030, intensity 15.5
2θ = 45.88°, d 1.978, intensity 24.5
2θ = 50.54°, d 1.806, intensity 23.3
2θ = 55.45°, d 1.657, intensity 33.1
2θ = 61.08°, d 1.517, intensity 8.7
2θ = 65.94°, d 1.417, intensity 9.1
2θ = 88.40°, d 1.106, intensity 9.1

Structure:
```
data_Nd2TiAgO6
_chemical_formula_sum 'Nd2 Ti1 Ag1 O6'
_space_group_name_H-M_alt 'P 1'
_space_group_IT_number 1
_space_group_name_Hall 'P 1'
_cell_length_a 5.595
_cell_length_b 5.595
_cell_length_c 4.730
_cell_angle_alpha 90.00
_cell_angle_beta 90.00
_cell_angle_gamma 90.00
loop_
_atom_site_label
_atom_site_type_symbol
_atom_site_fract_x
_atom_site_fract_y
_atom_site_fract_z
Nd1 Nd 0.000 0.500 0.000
Nd2 Nd 0.500 0.000 0.000
Ti1 Ti 0.000 0.000 0.595
Ag1 Ag 0.500 0.500 0.587
O1 O 0.000 0.000 0.213
O2 O 0.229 0.229 0.729
O3 O 0.229 0.771 0.729
O4 O 0.500 0.500 0.129
O5 O 0.771 0.229 0.729
O6 O 0.771 0.771 0.729
```

=====

TbCeY14: theoretical PXRD pattern (a wavelength of 1.5418 Å), based on a crystal structure in Alexandria, relaxed with PBE.
Intensities are scaled so that the largest is 100.

Main lines, in order of rising 2θ (2θ = 15–90°):
2θ = 17.54°, d 5.055, intensity 1.5
2θ = 19.63°, d 4.522, intensity 1.5
2θ = 30.63°, d 2.918, intensity 100.0
2θ = 35.52°, d 2.527, intensity 50.0
2θ = 51.11°, d 1.787, intensity 34.6
2θ = 60.77°, d 1.524, intensity 40.6
2θ = 63.78°, d 1.459, intensity 11.6
2θ = 75.14°, d 1.264, intensity 3.6
2θ = 75.26°, d 1.263, intensity 1.8
2θ = 83.33°, d 1.160, intensity 16.3
2θ = 85.97°, d 1.131, intensity 10.1
2θ = 86.07°, d 1.130, intensity 5.0

Structure:
```
data_TbCeY14
_chemical_formula_sum 'Tb1 Ce1 Y14'
_space_group_name_H-M_alt 'P 1'
_space_group_IT_number 1
_space_group_name_Hall 'P 1'
_cell_length_a 7.152
_cell_length_b 7.152
_cell_length_c 10.101
_cell_angle_alpha 90.00
_cell_angle_beta 90.00
_cell_angle_gamma 90.00
loop_
_atom_site_label
_atom_site_type_symbol
_atom_site_fract_x
_atom_site_fract_y
_atom_site_fract_z
Tb1 Tb 0.000 0.000 0.000
Ce1 Ce 0.500 0.500 0.000
Y1 Y 0.000 0.000 0.500
Y2 Y 0.000 0.500 0.000
Y3 Y 0.000 0.500 0.500
Y4 Y 0.251 0.251 0.249
Y5 Y 0.251 0.251 0.751
Y6 Y 0.251 0.749 0.249
Y7 Y 0.251 0.749 0.751
Y8 Y 0.500 0.000 0.000
Y9 Y 0.500 0.000 0.500
Y10 Y 0.500 0.500 0.500
Y11 Y 0.749 0.251 0.249
Y12 Y 0.749 0.251 0.751
Y13 Y 0.749 0.749 0.249
Y14 Y 0.749 0.749 0.751
```

=====

K3CdBi: theoretical PXRD pattern (a wavelength of 1.5418 Å), based on a crystal structure in Alexandria, relaxed with PBE.
Intensities are scaled so that the largest is 100.

Main lines, in order of rising 2θ (2θ = 15–90°):
2θ = 15.93°, d 5.563, intensity 100.0
2θ = 20.47°, d 4.339, intensity 52.9
2θ = 21.71°, d 4.094, intensity 52.7
2θ = 24.10°, d 3.693, intensity 71.0
2θ = 25.66°, d 3.471, intensity 26.8
2θ = 28.27°, d 3.156, intensity 27.3
2θ = 28.97°, d 3.082, intensity 56.1
2θ = 31.54°, d 2.837, intensity 39.2
2θ = 32.18°, d 2.782, intensity 29.6
2θ = 33.23°, d 2.696, intensity 59.7
2θ = 33.85°, d 2.648, intensity 50.6
2θ = 43.84°, d 2.065, intensity 31.9

Structure:
```
data_K3CdBi
_chemical_formula_sum 'K6 Cd2 Bi2'
_space_group_name_H-M_alt 'P 1'
_space_group_IT_number 1
_space_group_name_Hall 'P 1'
_cell_length_a 8.888
_cell_length_b 8.888
_cell_length_c 8.888
_cell_angle_alpha 102.50
_cell_angle_beta 112.51
_cell_angle_gamma 113.62
loop_
_atom_site_label
_atom_site_type_symbol
_atom_site_fract_x
_atom_site_fract_y
_atom_site_fract_z
K1 K 0.203 0.056 0.259
K2 K 0.203 0.444 0.647
K3 K 0.229 0.573 0.156
K4 K 0.417 0.073 0.844
K5 K 0.797 0.556 0.353
K6 K 0.797 0.944 0.741
Cd1 Cd 0.661 0.434 0.727
Cd2 Cd 0.707 0.934 0.273
Bi1 Bi 0.048 0.716 0.832
Bi2 Bi 0.884 0.216 0.168
```

=====

Ni3Se4: theoretical PXRD pattern (a wavelength of 1.5418 Å), based on a crystal structure in Alexandria, relaxed with PBE.
Intensities are scaled so that the largest is 100.

Main lines, in order of rising 2θ (2θ = 15–90°):
2θ = 15.34°, d 5.775, intensity 13.5
2θ = 25.18°, d 3.537, intensity 14.5
2θ = 29.62°, d 3.016, intensity 42.1
2θ = 30.97°, d 2.888, intensity 38.9
2θ = 35.91°, d 2.501, intensity 83.3
2θ = 47.21°, d 1.925, intensity 31.3
2θ = 51.69°, d 1.768, intensity 100.0
2θ = 61.49°, d 1.508, intensity 14.1
2θ = 64.54°, d 1.444, intensity 17.7
2θ = 72.59°, d 1.302, intensity 8.2
2θ = 76.13°, d 1.250, intensity 14.3
2θ = 87.15°, d 1.118, intensity 21.8

Structure:
```
data_Ni3Se4
_chemical_formula_sum 'Ni6 Se8'
_space_group_name_H-M_alt 'P 1'
_space_group_IT_number 1
_space_group_name_Hall 'P 1'
_cell_length_a 7.073
_cell_length_b 7.073
_cell_length_c 7.073
_cell_angle_alpha 60.00
_cell_angle_beta 60.00
_cell_angle_gamma 60.00
loop_
_atom_site_label
_atom_site_type_symbol
_atom_site_fract_x
_atom_site_fract_y
_atom_site_fract_z
Ni1 Ni 0.000 0.000 0.000
Ni2 Ni 0.000 0.000 0.500
Ni3 Ni 0.000 0.500 0.000
Ni4 Ni 0.375 0.375 0.375
Ni5 Ni 0.500 0.000 0.000
Ni6 Ni 0.625 0.625 0.625
Se1 Se 0.224 0.759 0.759
Se2 Se 0.241 0.241 0.241
Se3 Se 0.241 0.241 0.776
Se4 Se 0.241 0.776 0.241
Se5 Se 0.759 0.224 0.759
Se6 Se 0.759 0.759 0.224
Se7 Se 0.759 0.759 0.759
Se8 Se 0.776 0.241 0.241
```

=====

Which formula does entry 3 have? Nd2TiAgO6